(1)
Structure and computed powder diffractogram of La12Ni2Ir5 (a DFT-relaxed cell (GGA-PBE, Alexandria); Cu Kα (weighted mean of Kα1 and Kα2)).
Intensities are scaled so that the largest is 100.

Atomic structure:
a b c (Å): 16.193 7.461 9.683
angles (deg): 90.00 106.56 90.00
Space group C2/m (No. 12)
Inequivalent atoms, fractional coordinates:
La: 0.004 0.000 0.298 [4 per cell]
La: 0.060 0.500 0.296 [4 per cell]
La: 0.148 0.246 0.050 [8 per cell]
La: 0.177 0.248 0.613 [8 per cell]
Ni: 0.000 0.315 0.500 [4 per cell]
Ir: 0.000 0.500 0.000 [2 per cell]
Ir: 0.178 0.000 0.341 [4 per cell]
Ir: 0.200 0.000 0.851 [4 per cell]

Largest 10 diffraction maxima, low angle first, 2θ = 10–90°:
- 2θ = 20.89°, 4.253 Å, I = 87, hkl 3 1 0
- 2θ = 21.89°, 4.061 Å, I = 100, hkl 1 1 -2
- 2θ = 30.75°, 2.908 Å, I = 65, hkl 0 2 2
- 2θ = 30.85°, 2.898 Å, I = 78, hkl 2 2 -2
- 2θ = 34.68°, 2.587 Å, I = 58, hkl 6 0 0
- 2θ = 34.83°, 2.576 Å, I = 70, hkl 2 2 2
- 2θ = 35.11°, 2.556 Å, I = 76, hkl 4 2 -2
- 2θ = 37.14°, 2.421 Å, I = 81, hkl 2 0 -4
- 2θ = 42.05°, 2.149 Å, I = 48, hkl 2 2 3
- 2θ = 48.83°, 1.865 Å, I = 45, hkl 0 4 0

---

(2)
Structure and computed powder diffractogram of La9Ni2Ir4 (a DFT-relaxed cell (GGA-PBE, Alexandria); Cu Kα (weighted mean of Kα1 and Kα2)).
Intensities are scaled so that the largest is 100.

Atomic structure:
a b c (Å): 7.2186 7.2186 19.9162
angles (deg): 90.00 90.00 120.00
Space group P-3c1 (No. 165)
Inequivalent atoms, fractional coordinates:
La: 0.0000 0.3363 0.2500 [6 per cell]
La: 0.0019 0.3352 0.5828 [12 per cell]
Ni: 0.0000 0.0000 0.1742 [4 per cell]
Ir: 0.3333 0.6667 0.1671 [4 per cell]
Ir: 0.3333 0.6667 0.4994 [4 per cell]

Largest 10 diffraction maxima, low angle first, 2θ = 10–90°:
- 2θ = 16.74°, 5.295 Å, I = 33, hkl 1 0 2
- 2θ = 22.83°, 3.895 Å, I = 15, hkl 0 1 4
- 2θ = 28.14°, 3.171 Å, I = 100, hkl 1 1 3
- 2θ = 36.79°, 2.443 Å, I = 97, hkl 1 1 6
- 2θ = 43.43°, 2.084 Å, I = 61, hkl 3 0 0
- 2θ = 48.24°, 1.887 Å, I = 23, hkl 1 1 9
- 2θ = 52.55°, 1.742 Å, I = 18, hkl 2 2 3
- 2θ = 58.19°, 1.585 Å, I = 26, hkl 2 2 6
- 2θ = 72.86°, 1.298 Å, I = 26, hkl 3 0 12
- 2θ = 75.32°, 1.262 Å, I = 24, hkl 4 1 6

---

(3)
Structure and computed powder diffractogram of La3Ni8Ir (a DFT-relaxed cell (GGA-PBE, Alexandria); Cu Kα (weighted mean of Kα1 and Kα2)).
Intensities are scaled so that the largest is 100.

Atomic structure:
a b c (Å): 5.0881 5.0881 25.0655
angles (deg): 90.00 90.00 120.00
Space group R3m (No. 160, hexagonal axes)
Inequivalent atoms, fractional coordinates:
La: 0.0000 0.0000 0.0000 [3 per cell]
La: 0.0000 0.0000 0.1298 [3 per cell]
La: 0.0000 0.0000 0.6098 [3 per cell]
Ni: 0.0000 0.0000 0.3100 [3 per cell]
Ni: 0.0000 0.0000 0.8110 [3 per cell]
Ni: 0.0032 0.5016 0.0629 [9 per cell]
Ni: 0.0030 0.5015 0.5583 [9 per cell]
Ir: 0.0000 0.0000 0.4886 [3 per cell]

Largest 10 diffraction maxima, low angle first, 2θ = 10–90°:
- 2θ = 21.37°, 4.157 Å, I = 11, hkl 0 1 2
- 2θ = 35.14°, 2.553 Å, I = 35, hkl 0 1 8
- 2θ = 35.28°, 2.544 Å, I = 41, hkl 1 1 0
- 2θ = 41.44°, 2.179 Å, I = 27, hkl 1 0 10
- 2θ = 41.58°, 2.172 Å, I = 100, hkl 2 0 2
- 2θ = 43.54°, 2.078 Å, I = 16, hkl 0 2 4
- 2θ = 63.26°, 1.470 Å, I = 20, hkl 3 0 0
- 2θ = 67.57°, 1.386 Å, I = 27, hkl 3 0 6
- 2θ = 74.29°, 1.277 Å, I = 10, hkl 0 2 16
- 2θ = 74.61°, 1.272 Å, I = 15, hkl 2 2 0